[1]
Calculated X-ray powder pattern of VAg3O4 for Cu Kα, 1.54184 Å, from a structure optimized by DFT (GGA+U).
Lines closer than 0.1° are merged.

Largest 8 diffraction maxima, sorted by position, 2θ = 5–70°:
d_spacing, I (rel.), (hkl)
4.614, 15, 0 0 2
2.922, 85, 1 1 2
2.822, 100, 3 1 -2
2.571, 22, 2 0 -4
2.551, 24, 0 2 0
2.354, 21, 4 0 0
1.811, 21, 2 2 -4
1.730, 20, 4 2 0

Crystal structure
```
data_VAg3O4
_chemical_formula_sum 'V4 Ag12 O16'
_cell_length_a 10.5092
_cell_length_b 5.1027
_cell_length_c 10.2969
_cell_angle_alpha 90.00
_cell_angle_beta 116.34
_cell_angle_gamma 90.00
_symmetry_space_group_name_H-M 'C 1 2/c 1'
_symmetry_Int_Tables_number 15
_symmetry_space_group_name_Hall '-C 2yc'
loop_
_atom_site_label
_atom_site_type_symbol
_atom_site_fract_x
_atom_site_fract_y
_atom_site_fract_z
V1 V 0.0000 0.0519 0.2500
Ag1 Ag 0.0000 0.5000 0.0000
Ag2 Ag 0.2421 0.0428 0.5974
O1 O 0.0968 0.1521 0.8971
O2 O 0.1156 0.2492 0.2065
```

[2]
Calculated X-ray powder pattern of NaFeS2O2 for Cu Kα, 1.54184 Å, from a structure optimized by DFT (GGA+U).
Lines closer than 0.1° are merged.

Largest 8 diffraction maxima, sorted by position, 2θ = 5–70°:
d_spacing, I (rel.), (hkl)
6.028, 92, 1 1 0
4.282, 82, 0 2 0
3.353, 28, 0 2 1
3.248, 100, 2 2 -1
3.014, 28, 2 2 0
2.696, 40, 0 0 2
2.493, 29, 4 0 -2
2.156, 24, 4 2 -2

Crystal structure
```
data_NaFeS2O2
_chemical_formula_sum 'Na4 Fe4 S8 O8'
_cell_length_a 10.3172
_cell_length_b 8.5635
_cell_length_c 6.5561
_cell_angle_alpha 90.00
_cell_angle_beta 124.66
_cell_angle_gamma 90.00
_symmetry_space_group_name_H-M 'C 1 2/c 1'
_symmetry_Int_Tables_number 15
_symmetry_space_group_name_Hall '-C 2yc'
loop_
_atom_site_label
_atom_site_type_symbol
_atom_site_fract_x
_atom_site_fract_y
_atom_site_fract_z
Na1 Na 0.0000 0.0712 0.2500
Fe1 Fe 0.0000 0.4887 0.7500
S1 S 0.1584 0.3828 0.1479
O1 O 0.1602 0.0850 0.6870
```